Entry 1:
Simulated PXRD pattern of Pm6Y for Cu Kα, 1.54184 Å, from a cell relaxed with PBE.
Lines closer than 0.1° are merged.

Main lines, most intense first (10° ≤ 2θ ≤ 90°):
- 2θ 28.16, I = 1000
- 2θ 34.28, I = 983
- 2θ 31.31, I = 795
- 2θ 30.55, I = 781
- 2θ 54.71, I = 567
- 2θ 31.77, I = 440
- 2θ 36.22, I = 408
- 2θ 20.59, I = 344
- 2θ 43.32, I = 336
- 2θ 60.02, I = 327
- 2θ 58.20, I = 306
- 2θ 64.83, I = 301

Cell and atoms:
```
Pm6Y
1.0
6.605 0.000 0.000
0.000 6.605 0.000
0.000 0.000 11.266
Pm Y
12 2
direct
0.082 0.582 0.139
0.082 0.918 0.861
0.250 0.250 0.362
0.250 0.250 0.638
0.418 0.582 0.861
0.418 0.918 0.139
0.582 0.082 0.861
0.582 0.418 0.139
0.750 0.750 0.362
0.750 0.750 0.638
0.918 0.082 0.139
0.918 0.418 0.861
0.250 0.750 0.500
0.750 0.250 0.500
```

Entry 2:
Simulated PXRD pattern of Pm7Y5 for Cu Kα, 1.54184 Å, from a cell relaxed with PBE.
Lines closer than 0.1° are merged.

Main lines, most intense first (10° ≤ 2θ ≤ 90°):
- 2θ 32.29, I = 1000
- 2θ 29.40, I = 474
- 2θ 30.50, I = 353
- 2θ 36.67, I = 262
- 2θ 55.35, I = 213
- 2θ 59.89, I = 204
- 2θ 50.27, I = 175
- 2θ 48.41, I = 123
- 2θ 60.94, I = 105
- 2θ 59.95, I = 102
- 2θ 50.15, I = 88
- 2θ 85.03, I = 76

Cell and atoms:
```
Pm7Y5
1.0
9.424 -1.819 0.000
9.424 1.819 0.000
-6.279 0.000 11.725
Pm Y
7 5
direct
0.000 0.000 0.000
0.139 0.139 0.751
0.167 0.167 0.501
0.472 0.472 0.750
0.528 0.528 0.250
0.833 0.833 0.499
0.861 0.861 0.249
0.195 0.195 0.249
0.333 0.333 0.999
0.500 0.500 0.500
0.667 0.667 0.001
0.805 0.805 0.751
```

Entry 3:
Simulated PXRD pattern of Pm2Y5 for Cu Kα, 1.54184 Å, from a cell relaxed with PBE.
Lines closer than 0.1° are merged.

Main lines, most intense first (10° ≤ 2θ ≤ 90°):
- 2θ 32.24, I = 1000
- 2θ 28.11, I = 246
- 2θ 31.24, I = 242
- 2θ 59.92, I = 219
- 2θ 49.74, I = 195
- 2θ 60.53, I = 159
- 2θ 42.52, I = 154
- 2θ 56.23, I = 133
- 2θ 82.05, I = 132
- 2θ 86.21, I = 79
- 2θ 78.35, I = 74
- 2θ 56.24, I = 67

Cell and atoms:
```
Pm2Y5
1.0
7.939 -3.174 0.000
7.939 3.174 0.000
-0.951 0.000 9.256
Pm Y
4 10
direct
0.095 0.761 0.893
0.239 0.905 0.607
0.761 0.095 0.393
0.905 0.239 0.107
0.049 0.380 0.821
0.191 0.522 0.535
0.333 0.667 0.250
0.380 0.049 0.321
0.478 0.809 0.965
0.522 0.191 0.035
0.620 0.951 0.679
0.667 0.333 0.750
0.809 0.478 0.465
0.951 0.620 0.179
```

Entry 4:
Simulated PXRD pattern of Pm13Y2 for Cu Kα, 1.54184 Å, from a cell relaxed with PBE.
Lines closer than 0.1° are merged.

Main lines, most intense first (10° ≤ 2θ ≤ 90°):
- 2θ 30.44, I = 1000
- 2θ 28.81, I = 844
- 2θ 31.42, I = 832
- 2θ 33.86, I = 579
- 2θ 50.83, I = 519
- 2θ 60.39, I = 512
- 2θ 35.31, I = 255
- 2θ 40.40, I = 238
- 2θ 57.84, I = 218
- 2θ 85.34, I = 190
- 2θ 22.71, I = 157
- 2θ 24.76, I = 147

Cell and atoms:
```
Pm13Y2
1.0
3.592 2.074 11.758
-3.592 2.074 11.758
0.000 -4.148 11.758
Pm Y
13 2
direct
0.000 0.000 0.000
0.042 0.546 0.546
0.208 0.710 0.710
0.290 0.290 0.792
0.290 0.792 0.290
0.454 0.454 0.958
0.454 0.958 0.454
0.546 0.042 0.546
0.546 0.546 0.042
0.710 0.208 0.710
0.710 0.710 0.208
0.792 0.290 0.290
0.958 0.454 0.454
0.206 0.206 0.206
0.794 0.794 0.794
```